[1]
This entry pairs a crystal structure of Ce3Rh2 with its simulated powder XRD pattern. Radiation: λ = 1.5418 Å (Cu Kα). Structure: a DFT-relaxed cell (PBE, Alexandria).

Main lines, sorted by position (10 to 80 degrees two-theta):
| d/Å | Position (°2θ) | Rel. int. | h k l |
| --- | --- | --- | --- |
| 3.000 | 29.78 | 36 | 0 1 5 |
| 2.807 | 31.88 | 62 | 3 -1 1 |
| 2.771 | 32.31 | 25 | 0 2 4 |
| 2.725 | 32.87 | 36 | 0 0 6 |
| 2.691 | 33.30 | 100 | 3 -2 2 |
| 2.513 | 35.73 | 67 | 3 0 0 |
| 2.338 | 38.51 | 68 | 2 1 4 |
| 2.310 | 39.00 | 62 | 2 -1 6 |
| 1.762 | 51.90 | 19 | 3 1 5 |
| 1.661 | 55.32 | 21 | 1 2 8 |

Structural model:
```
data_Ce3Rh2
_chemical_formula_sum 'Ce27 Rh18'
_cell_length_a 8.7059
_cell_length_b 8.7059
_cell_length_c 16.3487
_cell_angle_alpha 90.00
_cell_angle_beta 90.00
_cell_angle_gamma 120.00
_symmetry_space_group_name_H-M 'R -3'
_symmetry_Int_Tables_number 148
_symmetry_space_group_name_Hall '-R 3'
loop_
_atom_site_label
_atom_site_type_symbol
_atom_site_fract_x
_atom_site_fract_y
_atom_site_fract_z
Ce1 Ce 0.0000 0.0000 0.0000
Ce2 Ce 0.0000 0.0000 0.2061
Ce3 Ce 0.0169 0.7627 0.5942
Rh1 Rh 0.0221 0.4022 0.5696
```

[2]
This entry pairs a crystal structure of Ce3Rh2 with its simulated powder XRD pattern. Radiation: λ = 1.5418 Å (Cu Kα). Structure: a DFT-relaxed cell (PBE, Alexandria).

Main lines, sorted by position (10 to 80 degrees two-theta):
| d/Å | Position (°2θ) | Rel. int. | h k l |
| --- | --- | --- | --- |
| 3.137 | 28.45 | 74 | 3 0 2 |
| 3.048 | 29.30 | 32 | 1 1 2 |
| 2.771 | 32.30 | 88 | 2 1 2 |
| 2.649 | 33.84 | 100 | 0 1 3 |
| 2.583 | 34.73 | 54 | 1 1 3 |
| 2.545 | 35.26 | 51 | 4 0 2 |
| 2.441 | 36.83 | 61 | 3 1 2 |
| 2.263 | 39.84 | 45 | 4 1 1 |
| 2.187 | 41.27 | 35 | 1 1 4 |
| 1.943 | 46.76 | 57 | 0 2 0 |

Structural model:
```
data_Ce3Rh2
_chemical_formula_sum 'Ce12 Rh8'
_cell_length_a 11.5200
_cell_length_b 3.8845
_cell_length_c 10.8784
_cell_angle_alpha 90.00
_cell_angle_beta 90.00
_cell_angle_gamma 90.00
_symmetry_space_group_name_H-M 'P n m a'
_symmetry_Int_Tables_number 62
_symmetry_space_group_name_Hall '-P 2ac 2n'
loop_
_atom_site_label
_atom_site_type_symbol
_atom_site_fract_x
_atom_site_fract_y
_atom_site_fract_z
Ce1 Ce 0.0595 0.2500 0.1395
Ce2 Ce 0.1256 0.7500 0.5543
Ce3 Ce 0.2227 0.2500 0.8130
Rh1 Rh 0.9996 0.2500 0.6826
Rh2 Rh 0.1713 0.7500 0.9959
```

- What is the formula in the second record?
  Ce3Rh2